For Hf3Ni4P4, a cell relaxed with GGA-PBE gives the theoretical powder diffractogram in this record (Cu Ka).
Kinematic intensities with the Lorentz-polarization factor, no thermal factor.

Crystal structure
Cell: 7.2684 7.2684 7.2684 Å, 151.23 124.51 63.70°
Atoms (fractional coordinates):
Hf (0.0000, 0.0000, 0.0000)
Hf (0.3805, 0.8805, 0.5000)
Hf (0.6195, 0.1195, 0.5000)
Ni (0.0160, 0.3243, 0.6917)
Ni (0.3674, 0.6757, 0.6917)
Ni (0.6326, 0.3243, 0.3083)
Ni (0.9840, 0.6757, 0.3083)
P (0.2207, 0.2207, 0.0000)
P (0.2859, 0.5000, 0.7859)
P (0.7141, 0.5000, 0.2141)
P (0.7793, 0.7793, 0.0000)

Top 10 peaks for 2θ from 15° to 90°, by angle:
d = 3.517 Å, I 25; d = 3.466 Å, I 26; d = 3.384 Å, I 20; d = 2.421 Å, I 100; d = 2.320 Å, I 41; d = 2.217 Å, I 86; d = 1.978 Å, I 32; d = 1.806 Å, I 24; d = 1.626 Å, I 19; d = 1.425 Å, I 18

For HfNiP, a cell relaxed with GGA-PBE gives the theoretical powder diffractogram in this record (Cu Ka).
Kinematic intensities with the Lorentz-polarization factor, no thermal factor.

Crystal structure
Cell: 6.3113 3.6998 7.1593 Å, 90.00 90.00 90.00°
Atoms (fractional coordinates):
Hf (0.0209, 0.2500, 0.1828)
Hf (0.4791, 0.7500, 0.6828)
Hf (0.5209, 0.2500, 0.3172)
Hf (0.9791, 0.7500, 0.8172)
Ni (0.1540, 0.2500, 0.5656)
Ni (0.3460, 0.7500, 0.0656)
Ni (0.6540, 0.2500, 0.9344)
Ni (0.8460, 0.7500, 0.4344)
P (0.2232, 0.7500, 0.3865)
P (0.2768, 0.2500, 0.8865)
P (0.7232, 0.7500, 0.1135)
P (0.7768, 0.2500, 0.6135)

Top 10 peaks for 2θ from 15° to 90°, by angle:
d = 3.287 Å, I 52; d = 3.156 Å, I 25; d = 2.382 Å, I 90; d = 2.367 Å, I 29; d = 2.276 Å, I 100; d = 2.232 Å, I 44; d = 2.005 Å, I 20; d = 1.850 Å, I 29; d = 1.424 Å, I 21; d = 1.279 Å, I 24

For HfNi4P2, a cell relaxed with GGA-PBE gives the theoretical powder diffractogram in this record (Cu Ka).
Kinematic intensities with the Lorentz-polarization factor, no thermal factor.

Crystal structure
Cell: 6.9305 6.9305 3.5597 Å, 90.00 90.00 90.00°
Atoms (fractional coordinates):
Hf (0.0000, 0.0000, 0.0000)
Hf (0.5000, 0.5000, 0.5000)
Ni (0.0830, 0.3318, 0.5000)
Ni (0.1682, 0.5830, 0.0000)
Ni (0.3318, 0.0830, 0.5000)
Ni (0.4170, 0.8318, 0.0000)
Ni (0.5830, 0.1682, 0.0000)
Ni (0.6682, 0.9170, 0.5000)
Ni (0.8318, 0.4170, 0.0000)
Ni (0.9170, 0.6682, 0.5000)
P (0.2193, 0.7807, 0.5000)
P (0.2807, 0.2807, 0.0000)
P (0.7193, 0.7193, 0.0000)
P (0.7807, 0.2193, 0.5000)

Top 10 peaks for 2θ from 15° to 90°, by angle:
d = 3.465 Å, I 12; d = 3.166 Å, I 19; d = 2.338 Å, I 100; d = 2.192 Å, I 43; d = 2.018 Å, I 17; d = 1.866 Å, I 16; d = 1.780 Å, I 17; d = 1.520 Å, I 12; d = 1.382 Å, I 19; d = 1.292 Å, I 22

For HfPaNi2P2, a cell relaxed with GGA-PBE gives the theoretical powder diffractogram in this record (Cu Ka).
Kinematic intensities with the Lorentz-polarization factor, no thermal factor.

Crystal structure
Cell: 3.8192 3.8192 7.4531 Å, 90.00 90.00 120.00°
Atoms (fractional coordinates):
Hf (0.0000, 0.0000, 0.0000)
Pa (0.0000, 0.0000, 0.5000)
Ni (0.3333, 0.6667, 0.2423)
Ni (0.6667, 0.3333, 0.7577)
P (0.3333, 0.6667, 0.7646)
P (0.6667, 0.3333, 0.2354)

Top 10 peaks for 2θ from 15° to 90°, by angle:
d = 3.727 Å, I 8; d = 3.307 Å, I 40; d = 2.474 Å, I 100; d = 1.910 Å, I 33; d = 1.863 Å, I 10; d = 1.623 Å, I 11; d = 1.512 Å, I 22; d = 1.334 Å, I 20; d = 1.185 Å, I 20; d = 1.163 Å, I 9

For HfPaNi, a cell relaxed with GGA-PBE gives the theoretical powder diffractogram in this record (Cu Ka).
Kinematic intensities with the Lorentz-polarization factor, no thermal factor.

Crystal structure
Cell: 10.4958 9.7904 5.3380 Å, 82.20 67.54 30.26°
Atoms (fractional coordinates):
Hf (0.0439, 0.7061, 0.0439)
Hf (0.2939, 0.9561, 0.2939)
Hf (0.7061, 0.0439, 0.7061)
Hf (0.9561, 0.2939, 0.9561)
Pa (0.2962, 0.2962, 0.4538)
Pa (0.4538, 0.4538, 0.2962)
Pa (0.5462, 0.5462, 0.7038)
Pa (0.7038, 0.7038, 0.5462)
Ni (0.0009, 0.0009, 0.2491)
Ni (0.2491, 0.2491, 0.0009)
Ni (0.7509, 0.7509, 0.9991)
Ni (0.9991, 0.9991, 0.7509)

Top 10 peaks for 2θ from 15° to 90°, by angle:
d = 2.919 Å, I 56; d = 2.643 Å, I 100; d = 2.598 Å, I 89; d = 2.563 Å, I 77; d = 2.456 Å, I 44; d = 2.325 Å, I 77; d = 2.310 Å, I 40; d = 2.074 Å, I 82; d = 1.526 Å, I 33; d = 1.335 Å, I 25

For HfPa2Ni9, a cell relaxed with GGA-PBE gives the theoretical powder diffractogram in this record (Cu Ka).
Kinematic intensities with the Lorentz-polarization factor, no thermal factor.

Crystal structure
Cell: 8.6704 8.6704 8.6704 Å, 32.44 32.44 32.44°
Atoms (fractional coordinates):
Hf (0.0000, 0.0000, 0.0000)
Pa (0.1376, 0.1376, 0.1376)
Pa (0.8624, 0.8624, 0.8624)
Ni (0.0817, 0.5819, 0.5819)
Ni (0.3329, 0.3329, 0.3329)
Ni (0.4181, 0.4181, 0.9183)
Ni (0.4181, 0.9183, 0.4181)
Ni (0.5000, 0.5000, 0.5000)
Ni (0.5819, 0.0817, 0.5819)
Ni (0.5819, 0.5819, 0.0817)
Ni (0.6671, 0.6671, 0.6671)
Ni (0.9183, 0.4181, 0.4181)

Top 10 peaks for 2θ from 15° to 90°, by angle:
d = 4.135 Å, I 20; d = 2.695 Å, I 52; d = 2.481 Å, I 42; d = 2.422 Å, I 51; d = 2.087 Å, I 100; d = 1.975 Å, I 15; d = 1.445 Å, I 19; d = 1.409 Å, I 15; d = 1.324 Å, I 15; d = 1.211 Å, I 17

For HfNiPd, a cell relaxed with GGA-PBE gives the theoretical powder diffractogram in this record (Cu Ka).
Kinematic intensities with the Lorentz-polarization factor, no thermal factor.

Crystal structure
Cell: 4.7572 4.7266 4.8046 Å, 90.00 118.68 90.00°
Atoms (fractional coordinates):
Hf (0.2427, 0.2500, 0.0112)
Hf (0.7573, 0.7500, 0.9888)
Ni (0.4412, 0.7500, 0.3282)
Ni (0.5588, 0.2500, 0.6718)
Pd (0.1154, 0.7500, 0.6708)
Pd (0.8846, 0.2500, 0.3292)

Top 10 peaks for 2θ from 15° to 90°, by angle:
d = 4.215 Å, I 20; d = 3.102 Å, I 20; d = 2.378 Å, I 62; d = 2.363 Å, I 66; d = 2.167 Å, I 100; d = 2.141 Å, I 95; d = 1.676 Å, I 42; d = 1.335 Å, I 18; d = 1.323 Å, I 21; d = 1.317 Å, I 36

For HfNiPdRh, a cell relaxed with GGA-PBE gives the theoretical powder diffractogram in this record (Cu Ka).
Kinematic intensities with the Lorentz-polarization factor, no thermal factor.

Crystal structure
Cell: 3.8331 3.8728 4.0209 Å, 90.00 90.00 90.00°
Atoms (fractional coordinates):
Hf (0.0000, 0.0000, 0.0000)
Ni (0.0000, 0.5000, 0.5000)
Pd (0.5000, 0.0000, 0.5000)
Rh (0.5000, 0.5000, 0.0000)

Top 10 peaks for 2θ from 15° to 90°, by angle:
d = 2.255 Å, I 100; d = 2.010 Å, I 18; d = 1.936 Å, I 16; d = 1.917 Å, I 15; d = 1.395 Å, I 11; d = 1.387 Å, I 10; d = 1.203 Å, I 13; d = 1.170 Å, I 12; d = 1.162 Å, I 12; d = 1.128 Å, I 11